# Na5Li3Ti5O14
Calculated X-ray diffraction stick pattern, copper Kα. Input: a cell relaxed with PBE.

Structural model:
```
data_Na5Li3Ti5O14
_symmetry_space_group_name_H-M 'P 1'
_symmetry_Int_Tables_number 1
_symmetry_space_group_name_Hall 'P 1'
_cell_length_a 5.2342
_cell_length_b 7.0423
_cell_length_c 8.2660
_cell_angle_alpha 90.37
_cell_angle_beta 101.44
_cell_angle_gamma 97.32
loop_
_atom_site_label
_atom_site_type_symbol
_atom_site_fract_x
_atom_site_fract_y
_atom_site_fract_z
Na1 Na 0.0000 0.0000 0.0000
Na2 Na 0.1441 0.3088 0.3119
Na3 Na 0.3968 0.8462 0.8492
Na4 Na 0.5604 0.1358 0.1425
Na5 Na 0.8384 0.7117 0.7135
Li1 Li 0.0548 0.1513 0.6424
Li2 Li 0.3452 0.7063 0.2192
Li3 Li 0.7054 0.4416 0.4412
Ti1 Ti 0.1849 0.4292 0.9255
Ti2 Ti 0.4953 0.9874 0.4962
Ti3 Ti 0.6111 0.2792 0.7693
Ti4 Ti 0.7608 0.5764 0.0872
Ti5 Ti 0.9336 0.8578 0.3692
O1 O 0.0840 0.6726 0.9798
O2 O 0.1671 0.8812 0.5746
O3 O 0.2365 0.9808 0.2848
O4 O 0.3188 0.1793 0.8763
O5 O 0.4320 0.2668 0.5540
O6 O 0.4550 0.4477 0.1533
O7 O 0.5238 0.5361 0.8528
O8 O 0.6131 0.7522 0.4546
O9 O 0.6946 0.8266 0.1235
O10 O 0.7021 0.0252 0.7306
O11 O 0.7945 0.1031 0.4038
O12 O 0.8914 0.3126 0.0210
O13 O 0.9437 0.4042 0.7151
O14 O 0.9711 0.5924 0.3058
```

Main lines, sorted by position (2θ = 10–90°):
| hkl | d_spacing | Rel. int. |
| --- | --- | --- |
| 0 1 -1 | 5.375 | 73 |
| 0 1 1 | 5.204 | 15 |
| 0 2 -2 | 2.687 | 10 |
| 1 0 3 | 2.208 | 51 |
| 2 1 -2 | 2.183 | 100 |
| 2 -3 2 | 1.605 | 14 |
| 1 1 -5 | 1.595 | 13 |
| 1 4 -1 | 1.586 | 14 |
| 3 1 1 | 1.514 | 12 |
| -3 2 3 | 1.504 | 24 |